Diffraction record for Ho2Ge2O5. The powder X-ray diffraction pattern is simulated, not measured: it uses a cell relaxed with GGA-PBE and Cu Ka.
Intensities are scaled so that the largest is 100.

Principal peaks in the range 10° ≤ 2θ ≤ 90°, sorted by position:
- 2θ 21.7, rel. 20.0
- 2θ 30.8, rel. 62.7
- 2θ 34.8, rel. 100.0
- 2θ 41.3, rel. 22.5
- 2θ 44.2, rel. 39.8
- 2θ 57.4, rel. 47.9
- 2θ 64.2, rel. 12.4
- 2θ 64.7, rel. 12.4
- 2θ 73.4, rel. 12.9
- 2θ 75.2, rel. 11.6

Cell and atoms:
```
9
Lattice="4.101 0.000 0.000 0.000 4.101 0.000 0.000 0.000 6.640" Properties=species:S:1:pos:R:3 pbc="T T T"
Ho 0.000 0.000 0.000
Ho 0.000 0.000 3.320
Ge 2.050 2.050 1.421
Ge 2.050 2.050 5.219
O 0.000 2.050 1.539
O 0.000 2.050 5.101
O 2.050 0.000 1.539
O 2.050 0.000 5.101
O 2.050 2.050 3.320
```

Diffraction record for Ho2Ge2O7. The powder X-ray diffraction pattern is simulated, not measured: it uses a cell relaxed with GGA-PBE and Cu Ka.
Intensities are scaled so that the largest is 100.

Principal peaks in the range 10° ≤ 2θ ≤ 90°, sorted by position:
- 2θ 14.7, rel. 13.4
- 2θ 26.2, rel. 18.8
- 2θ 28.9, rel. 100.0
- 2θ 29.6, rel. 28.5
- 2θ 29.8, rel. 19.2
- 2θ 30.3, rel. 13.7
- 2θ 30.4, rel. 15.7
- 2θ 31.1, rel. 37.3
- 2θ 32.0, rel. 17.6
- 2θ 32.3, rel. 18.5

Cell and atoms:
```
44
Lattice="6.806 0.000 0.000 -0.223 6.824 0.000 -0.381 -1.067 12.353" Properties=species:S:1:pos:R:3 pbc="T T T"
Ho 0.233 2.142 1.390
Ho 0.616 0.248 4.411
Ho 1.921 5.558 1.418
Ho 2.248 0.780 7.796
Ho 3.954 4.977 4.557
Ho 4.280 0.199 10.935
Ho 5.586 5.510 7.942
Ho 5.968 3.615 10.963
Ge 0.666 3.849 4.659
Ge 0.752 0.031 10.920
Ge 2.241 4.312 7.394
Ge 2.836 3.629 10.282
Ge 3.365 2.128 2.070
Ge 3.960 1.445 4.959
Ge 5.450 5.726 1.433
Ge 5.536 1.909 7.694
O -0.142 4.465 0.988
O 0.002 -0.030 2.284
O 0.044 0.879 7.085
O 0.241 2.422 3.740
O 1.076 5.557 7.749
O 1.641 0.622 0.177
O 1.435 3.877 11.300
O 1.664 5.100 3.845
O 1.717 3.288 6.005
O 2.171 3.263 1.472
O 2.135 0.571 10.013
O 2.529 0.692 2.697
O 2.330 2.981 8.591
O 2.534 0.592 5.557
O 3.668 5.166 6.796
O 3.872 2.777 3.762
O 3.673 5.065 9.656
O 4.066 5.187 2.340
O 4.031 2.494 10.881
O 4.484 2.470 6.348
O 4.537 0.657 8.508
O 4.766 1.881 1.053
O 4.561 5.136 12.176
O 5.126 0.200 4.604
O 5.961 3.335 8.613
O 6.157 4.878 5.268
O 6.200 5.788 10.069
O 6.343 1.292 11.365
```

Diffraction record for Ho2Ge2O7. The powder X-ray diffraction pattern is simulated, not measured: it uses a cell relaxed with GGA-PBE and Cu Ka.
Intensities are scaled so that the largest is 100.

Principal peaks in the range 10° ≤ 2θ ≤ 90°, sorted by position:
- 2θ 16.2, rel. 21.3
- 2θ 18.0, rel. 27.4
- 2θ 26.3, rel. 35.5
- 2θ 26.6, rel. 100.0
- 2θ 28.5, rel. 57.4
- 2θ 32.1, rel. 30.9
- 2θ 32.7, rel. 40.5
- 2θ 35.0, rel. 18.8
- 2θ 45.2, rel. 19.8
- 2θ 51.6, rel. 32.9

Cell and atoms:
```
11
Lattice="3.498 -4.588 0.000 3.498 4.588 0.000 -1.068 0.000 4.916" Properties=species:S:1:pos:R:3 pbc="T T T"
Ho 3.498 2.811 0.000
Ho 3.498 -2.811 0.000
Ge 1.251 0.000 2.903
Ge 4.676 0.000 2.012
O 0.387 0.000 1.360
O 0.979 1.463 3.871
O 0.979 -1.463 3.871
O 2.964 0.000 2.458
O 4.949 1.463 1.045
O 4.949 -1.463 1.045
O 5.540 0.000 3.555
```

Diffraction record for Ho2Ge2O7. The powder X-ray diffraction pattern is simulated, not measured: it uses a cell relaxed with GGA-PBE and Cu Ka.
Intensities are scaled so that the largest is 100.

Principal peaks in the range 10° ≤ 2θ ≤ 90°, sorted by position:
- 2θ 14.8, rel. 42.0
- 2θ 27.0, rel. 79.5
- 2θ 28.6, rel. 75.4
- 2θ 29.2, rel. 24.1
- 2θ 30.0, rel. 45.8
- 2θ 32.6, rel. 100.0
- 2θ 33.9, rel. 40.9
- 2θ 48.5, rel. 39.0
- 2θ 53.2, rel. 34.0
- 2θ 61.8, rel. 25.4

Cell and atoms:
```
44
Lattice="6.850 0.000 0.000 0.000 6.850 0.000 0.000 0.000 12.477" Properties=species:S:1:pos:R:3 pbc="T T T"
Ho 0.852 2.416 1.435
Ho 1.009 4.277 4.554
Ho 2.416 0.852 11.042
Ho 2.572 5.841 1.684
Ho 4.277 1.009 7.923
Ho 4.434 5.997 4.803
Ho 5.841 2.572 10.793
Ho 5.997 4.434 7.674
Ge 0.678 1.043 7.871
Ge 1.043 0.678 4.606
Ge 2.382 4.103 10.991
Ge 2.747 4.468 7.725
Ge 4.103 2.382 1.487
Ge 4.468 2.747 4.752
Ge 5.807 6.171 10.844
Ge 6.171 5.807 1.633
O 0.216 0.543 10.898
O 0.443 4.528 2.235
O 0.543 0.216 1.580
O 0.977 2.170 3.676
O 1.103 2.982 11.593
O 1.255 4.401 6.795
O 1.351 1.351 6.239
O 2.074 4.775 9.358
O 2.170 0.977 8.801
O 2.322 6.407 4.003
O 2.448 5.595 11.921
O 2.881 3.641 1.540
O 2.982 1.103 0.884
O 3.208 3.968 4.699
O 3.641 2.881 10.937
O 3.868 5.747 7.123
O 3.968 3.208 7.778
O 4.401 1.255 5.682
O 4.528 0.443 10.242
O 4.680 5.873 2.563
O 4.775 2.074 3.119
O 5.499 5.499 0.000
O 5.595 2.448 0.557
O 5.747 3.868 5.355
O 5.873 4.680 9.914
O 6.306 6.633 7.818
O 6.407 2.322 8.474
O 6.633 6.306 4.659
```

What is the formula in the second record?
Ho2Ge2O7

What did the third record say?
Diffraction record for Ho2Ge2O7. The powder X-ray diffraction pattern is simulated, not measured: it uses a cell relaxed with GGA-PBE and Cu Ka.
Intensities are scaled so that the largest is 100.

Principal peaks in the range 10° ≤ 2θ ≤ 90°, sorted by position:
- 2θ 16.2, rel. 21.3
- 2θ 18.0, rel. 27.4
- 2θ 26.3, rel. 35.5
- 2θ 26.6, rel. 100.0
- 2θ 28.5, rel. 57.4
- 2θ 32.1, rel. 30.9
- 2θ 32.7, rel. 40.5
- 2θ 35.0, rel. 18.8
- 2θ 45.2, rel. 19.8
- 2θ 51.6, rel. 32.9

Cell and atoms:
```
11
Lattice="3.498 -4.588 0.000 3.498 4.588 0.000 -1.068 0.000 4.916" Properties=species:S:1:pos:R:3 pbc="T T T"
Ho 3.498 2.811 0.000
Ho 3.498 -2.811 0.000
Ge 1.251 0.000 2.903
Ge 4.676 0.000 2.012
O 0.387 0.000 1.360
O 0.979 1.463 3.871
O 0.979 -1.463 3.871
O 2.964 0.000 2.458
O 4.949 1.463 1.045
O 4.949 -1.463 1.045
O 5.540 0.000 3.555
```